Li2S: simulated powder diffractogram (a wavelength of 1.5418 Å), based on a cell relaxed with GGA-PBE.

Structure:
```
data_Li2S
_space_group_name_H-M_alt 'P n m a'
_space_group_IT_number 62
_cell_length_a 6.311
_cell_length_b 3.808
_cell_length_c 7.262
_cell_angle_alpha 90.00
_cell_angle_beta 90.00
_cell_angle_gamma 90.00
loop_
_space_group_symop_operation_xyz
'x,y,z'
'-x,-y,-z'
'-x+1/2,-y,z+1/2'
'x+1/2,y,-z+1/2'
'x+1/2,-y+1/2,-z+1/2'
'-x+1/2,y+1/2,z+1/2'
'-x,y+1/2,-z'
'x,-y+1/2,z'
loop_
_atom_site_label
_atom_site_type_symbol
_atom_site_fract_x
_atom_site_fract_y
_atom_site_fract_z
Li1 Li 0.022 0.250 0.166
Li2 Li 0.141 0.250 0.571
S1 S 0.245 0.750 0.389
```

Top 10 peaks for 2θ = 10–80°, by angle:
- hkl 0 1 1, 26.4 deg, 3.373 Å, intensity 35.4
- hkl 2 0 0, 28.3 deg, 3.150 Å, intensity 100.0
- hkl 1 1 1, 30.0 deg, 2.975 Å, intensity 65.5
- hkl 2 1 1, 39.1 deg, 2.304 Å, intensity 40.2
- hkl 0 1 3, 44.3 deg, 2.043 Å, intensity 22.5
- hkl 0 2 0, 47.8 deg, 1.904 Å, intensity 15.0
- hkl 3 0 2, 50.1 deg, 1.820 Å, intensity 17.6
- hkl 3 1 1, 51.2 deg, 1.785 Å, intensity 17.3
- hkl 2 1 3, 53.4 deg, 1.715 Å, intensity 19.1
- hkl 2 2 0, 56.5 deg, 1.630 Å, intensity 22.1

***

Li2S: simulated powder diffractogram (a wavelength of 1.5418 Å), based on a cell relaxed with GGA-PBE.

Structure:
```
data_Li2S
_space_group_name_H-M_alt 'F m -3 m'
_space_group_IT_number 225
_space_group_name_Hall '-F 4 2 3'
_cell_length_a 5.721
_cell_length_b 5.721
_cell_length_c 5.721
_cell_angle_alpha 90.00
_cell_angle_beta 90.00
_cell_angle_gamma 90.00
loop_
_atom_site_label
_atom_site_type_symbol
_atom_site_fract_x
_atom_site_fract_y
_atom_site_fract_z
Li1 Li 0.250 0.250 0.250
S1 S 0.000 0.000 0.000
```

Top 8 peaks for 2θ = 10–80°, by angle:
- hkl 1 1 1, 27.0 deg, 3.303 Å, intensity 100.0
- hkl 2 0 0, 31.3 deg, 2.861 Å, intensity 23.5
- hkl 2 2 0, 44.8 deg, 2.023 Å, intensity 55.3
- hkl 3 1 1, 53.1 deg, 1.725 Å, intensity 36.3
- hkl 2 2 2, 55.6 deg, 1.652 Å, intensity 4.5
- hkl 4 0 0, 65.2 deg, 1.430 Å, intensity 8.5
- hkl 3 3 1, 71.9 deg, 1.313 Å, intensity 14.2
- hkl 4 2 0, 74.1 deg, 1.279 Å, intensity 5.9

***

Li2S: simulated powder diffractogram (a wavelength of 1.5418 Å), based on a cell relaxed with GGA-PBE.

Structure:
```
data_Li2S
_space_group_name_H-M_alt 'P 63/m m c'
_space_group_IT_number 194
_space_group_name_Hall '-P 6c 2c'
_cell_length_a 3.9293
_cell_length_b 3.9293
_cell_length_c 7.1071
_cell_angle_alpha 90.00
_cell_angle_beta 90.00
_cell_angle_gamma 120.00
loop_
_atom_site_label
_atom_site_type_symbol
_atom_site_fract_x
_atom_site_fract_y
_atom_site_fract_z
Li1 Li 0.3333 0.6667 0.0921
S1 S 0.3333 0.6667 0.7500
```

Top 10 peaks for 2θ = 10–80°, by angle:
- hkl 0 0 2, 25.1 deg, 3.554 Å, intensity 37.8
- hkl 1 0 0, 26.2 deg, 3.403 Å, intensity 55.2
- hkl 1 0 1, 29.1 deg, 3.069 Å, intensity 100.0
- hkl 1 0 2, 36.6 deg, 2.458 Å, intensity 18.3
- hkl 1 1 0, 46.2 deg, 1.965 Å, intensity 39.9
- hkl 1 0 3, 46.7 deg, 1.944 Å, intensity 57.4
- hkl 1 1 2, 53.3 deg, 1.719 Å, intensity 21.3
- hkl 2 0 1, 55.5 deg, 1.655 Å, intensity 12.4
- hkl 2 0 3, 67.8 deg, 1.382 Å, intensity 17.8
- hkl 2 1 1, 75.1 deg, 1.266 Å, intensity 10.2

***

Li2S: simulated powder diffractogram (a wavelength of 1.5418 Å), based on a cell relaxed with GGA-PBE.

Structure:
```
data_Li2S
_space_group_name_H-M_alt 'R 3 m'
_space_group_IT_number 160
_space_group_name_Hall 'R 3 -2"'
_cell_length_a 3.9962
_cell_length_b 3.9962
_cell_length_c 110.2533
_cell_angle_alpha 90.00
_cell_angle_beta 90.00
_cell_angle_gamma 120.00
loop_
_atom_site_label
_atom_site_type_symbol
_atom_site_fract_x
_atom_site_fract_y
_atom_site_fract_z
Li1 Li 0.0000 0.0000 0.0000
Li2 Li 0.0000 0.0000 0.0202
Li3 Li 0.0000 0.0000 0.1104
Li4 Li 0.0000 0.0000 0.1559
Li5 Li 0.0000 0.0000 0.2015
Li6 Li 0.0000 0.0000 0.2468
Li7 Li 0.0000 0.0000 0.2921
Li8 Li 0.0000 0.0000 0.3626
Li9 Li 0.0000 0.0000 0.3835
Li10 Li 0.0000 0.0000 0.4278
Li11 Li 0.0000 0.0000 0.4742
Li12 Li 0.0000 0.0000 0.5196
Li13 Li 0.0000 0.0000 0.5651
Li14 Li 0.0000 0.0000 0.6103
Li15 Li 0.0000 0.0000 0.6554
Li16 Li 0.0000 0.0000 0.7266
Li17 Li 0.0000 0.0000 0.7474
Li18 Li 0.0000 0.0000 0.7922
Li19 Li 0.0000 0.0000 0.8379
Li20 Li 0.0000 0.0000 0.8832
Li21 Li 0.0000 0.0000 0.9286
Li22 Li 0.0000 0.0000 0.9731
S1 S 0.0000 0.0000 0.0412
S2 S 0.0000 0.0000 0.1334
S3 S 0.0000 0.0000 0.2244
S4 S 0.0000 0.0000 0.3148
S5 S 0.0000 0.0000 0.4049
S6 S 0.0000 0.0000 0.4971
S7 S 0.0000 0.0000 0.5879
S8 S 0.0000 0.0000 0.6775
S9 S 0.0000 0.0000 0.7697
S10 S 0.0000 0.0000 0.8608
S11 S 0.0000 0.0000 0.9513
```

Top 10 peaks for 2θ = 10–80°, by angle:
- hkl 0 0 33, 26.7 deg, 3.341 Å, intensity 34.3
- hkl 0 1 11, 27.3 deg, 3.271 Å, intensity 100.0
- hkl 1 0 22, 31.4 deg, 2.848 Å, intensity 42.3
- hkl 0 1 44, 44.6 deg, 2.030 Å, intensity 39.7
- hkl 1 1 0, 45.4 deg, 1.998 Å, intensity 39.2
- hkl 1 0 55, 52.8 deg, 1.735 Å, intensity 13.1
- hkl 1 1 33, 53.4 deg, 1.715 Å, intensity 23.4
- hkl 2 0 11, 53.8 deg, 1.705 Å, intensity 11.8
- hkl 2 0 44, 65.6 deg, 1.424 Å, intensity 11.8
- hkl 1 2 11, 72.9 deg, 1.297 Å, intensity 9.3

***

Li2S: simulated powder diffractogram (a wavelength of 1.5418 Å), based on a cell relaxed with GGA-PBE.

Structure:
```
data_Li2S
_space_group_name_H-M_alt 'P 1'
_space_group_IT_number 1
_cell_length_a 3.996
_cell_length_b 3.996
_cell_length_c 36.823
_cell_angle_alpha 86.89
_cell_angle_beta 86.89
_cell_angle_gamma 60.00
loop_
_space_group_symop_operation_xyz
'x,y,z'
loop_
_atom_site_label
_atom_site_type_symbol
_atom_site_fract_x
_atom_site_fract_y
_atom_site_fract_z
Li1 Li 0.000 0.000 0.000
Li2 Li 0.016 0.013 0.939
Li3 Li 0.064 0.038 0.859
Li4 Li 0.112 0.068 0.725
Li5 Li 0.133 0.134 0.589
Li6 Li 0.195 0.172 0.454
Li7 Li 0.240 0.204 0.315
Li8 Li 0.273 0.258 0.181
Li9 Li 0.308 0.276 0.121
Li10 Li 0.382 0.341 0.905
Li11 Li 0.428 0.397 0.770
Li12 Li 0.451 0.443 0.635
Li13 Li 0.513 0.473 0.498
Li14 Li 0.567 0.530 0.363
Li15 Li 0.586 0.589 0.223
Li16 Li 0.641 0.636 0.090
Li17 Li 0.678 0.641 0.027
Li18 Li 0.722 0.724 0.816
Li19 Li 0.783 0.747 0.681
Li20 Li 0.837 0.807 0.544
Li21 Li 0.866 0.862 0.407
Li22 Li 0.925 0.902 0.271
S1 S 0.064 0.057 0.793
S2 S 0.164 0.159 0.522
S3 S 0.262 0.247 0.249
S4 S 0.344 0.333 0.974
S5 S 0.450 0.419 0.703
S6 S 0.516 0.516 0.431
S7 S 0.620 0.592 0.154
S8 S 0.702 0.689 0.885
S9 S 0.810 0.789 0.613
S10 S 0.892 0.868 0.341
S11 S 0.982 0.962 0.062
```

Top 10 peaks for 2θ = 10–80°, by angle:
- hkl 0 0 11, 26.7 deg, 3.341 Å, intensity 34.3
- hkl 1 0 4, 27.3 deg, 3.271 Å, intensity 100.0
- hkl 1 0 -7, 31.4 deg, 2.848 Å, intensity 42.2
- hkl 1 1 -14, 44.6 deg, 2.030 Å, intensity 39.5
- hkl 1 -1 0, 45.4 deg, 1.998 Å, intensity 39.0
- hkl 0 1 -18, 52.8 deg, 1.735 Å, intensity 13.0
- hkl 1 2 -10, 53.4 deg, 1.715 Å, intensity 23.2
- hkl 2 2 5, 53.8 deg, 1.705 Å, intensity 11.8
- hkl 0 2 -14, 65.6 deg, 1.424 Å, intensity 11.7
- hkl 2 -1 4, 72.9 deg, 1.297 Å, intensity 9.2

***

LiSbS2: simulated powder diffractogram (a wavelength of 1.5418 Å), based on a cell relaxed with GGA-PBE.

Structure:
```
data_LiSbS2
_space_group_name_H-M_alt 'P 4/m m m'
_space_group_IT_number 123
_space_group_name_Hall '-P 4 2'
_cell_length_a 3.907
_cell_length_b 3.907
_cell_length_c 5.301
_cell_angle_alpha 90.00
_cell_angle_beta 90.00
_cell_angle_gamma 90.00
loop_
_atom_site_label
_atom_site_type_symbol
_atom_site_fract_x
_atom_site_fract_y
_atom_site_fract_z
Li1 Li 0.000 0.000 0.000
Sb1 Sb 0.500 0.500 0.500
S1 S 0.000 0.000 0.500
S2 S 0.500 0.500 0.000
```

Top 10 peaks for 2θ = 10–80°, by angle:
- hkl 0 0 1, 16.7 deg, 5.301 Å, intensity 91.0
- hkl 1 0 0, 22.8 deg, 3.907 Å, intensity 88.5
- hkl 1 0 1, 28.4 deg, 3.145 Å, intensity 25.4
- hkl 1 1 0, 32.4 deg, 2.762 Å, intensity 100.0
- hkl 0 0 2, 33.8 deg, 2.650 Å, intensity 44.3
- hkl 1 1 1, 36.7 deg, 2.450 Å, intensity 51.5
- hkl 1 0 2, 41.2 deg, 2.193 Å, intensity 37.2
- hkl 2 0 0, 46.5 deg, 1.953 Å, intensity 34.7
- hkl 1 1 2, 47.5 deg, 1.912 Å, intensity 64.7
- hkl 2 0 2, 58.7 deg, 1.572 Å, intensity 33.6

***

Li3SbS4: simulated powder diffractogram (a wavelength of 1.5418 Å), based on a cell relaxed with GGA-PBE.

Structure:
```
data_Li3SbS4
_space_group_name_H-M_alt 'I -4 2 m'
_space_group_IT_number 121
_space_group_name_Hall 'I -4 2'
_cell_length_a 5.669
_cell_length_b 5.669
_cell_length_c 11.124
_cell_angle_alpha 90.00
_cell_angle_beta 90.00
_cell_angle_gamma 90.00
loop_
_atom_site_label
_atom_site_type_symbol
_atom_site_fract_x
_atom_site_fract_y
_atom_site_fract_z
Li1 Li 0.000 0.000 0.000
Li2 Li 0.000 0.500 0.250
Sb1 Sb 0.000 0.000 0.500
S1 S 0.241 0.241 0.625
```

Top 10 peaks for 2θ = 10–80°, by angle:
- hkl 0 0 2, 15.9 deg, 5.562 Å, intensity 28.3
- hkl 1 0 1, 17.6 deg, 5.051 Å, intensity 100.0
- hkl 1 1 0, 22.2 deg, 4.008 Å, intensity 26.3
- hkl 1 1 2, 27.4 deg, 3.252 Å, intensity 86.2
- hkl 1 0 3, 28.8 deg, 3.103 Å, intensity 24.6
- hkl 2 1 1, 36.3 deg, 2.472 Å, intensity 26.8
- hkl 2 1 3, 43.2 deg, 2.093 Å, intensity 19.7
- hkl 2 2 0, 45.2 deg, 2.004 Å, intensity 19.8
- hkl 2 0 4, 45.7 deg, 1.985 Å, intensity 38.6
- hkl 3 1 2, 53.7 deg, 1.706 Å, intensity 23.2

***

LiSbS: simulated powder diffractogram (a wavelength of 1.5418 Å), based on a cell relaxed with GGA-PBE.

Structure:
```
data_LiSbS
_space_group_name_H-M_alt 'P c a 21'
_space_group_IT_number 29
_cell_length_a 6.239
_cell_length_b 7.299
_cell_length_c 6.220
_cell_angle_alpha 90.00
_cell_angle_beta 90.00
_cell_angle_gamma 90.00
loop_
_space_group_symop_operation_xyz
'x,y,z'
'-x,-y,z+1/2'
'-x+1/2,y,z+1/2'
'x+1/2,-y,z'
loop_
_atom_site_label
_atom_site_type_symbol
_atom_site_fract_x
_atom_site_fract_y
_atom_site_fract_z
Li1 Li 0.249 0.004 0.000
Sb1 Sb 0.008 0.514 0.207
S1 S 0.003 0.848 0.247
```

Top 10 peaks for 2θ = 10–80°, by angle:
- hkl 0 1 0, 12.1 deg, 7.299 Å, intensity 100.0
- hkl 0 2 0, 24.4 deg, 3.649 Å, intensity 29.5
- hkl 2 0 0, 28.7 deg, 3.115 Å, intensity 67.5
- hkl 0 1 2, 31.2 deg, 2.865 Å, intensity 56.2
- hkl 0 2 2, 38.0 deg, 2.369 Å, intensity 31.3
- hkl 2 0 2, 41.0 deg, 2.203 Å, intensity 27.5
- hkl 2 1 2, 42.9 deg, 2.109 Å, intensity 20.5
- hkl 2 3 0, 47.4 deg, 1.917 Å, intensity 34.1
- hkl 2 2 2, 48.3 deg, 1.886 Å, intensity 18.7
- hkl 2 3 2, 56.3 deg, 1.633 Å, intensity 17.1

***

Li3SbS3: simulated powder diffractogram (a wavelength of 1.5418 Å), based on a cell relaxed with GGA-PBE.

Structure:
```
data_Li3SbS3
_space_group_name_H-M_alt 'P 1 21/c 1'
_space_group_IT_number 14
_cell_length_a 6.216
_cell_length_b 14.921
_cell_length_c 8.533
_cell_angle_alpha 90.00
_cell_angle_beta 129.51
_cell_angle_gamma 90.00
loop_
_space_group_symop_operation_xyz
'x,y,z'
'-x,-y,-z'
'-x,y+1/2,-z+1/2'
'x,-y+1/2,z+1/2'
loop_
_atom_site_label
_atom_site_type_symbol
_atom_site_fract_x
_atom_site_fract_y
_atom_site_fract_z
Li1 Li 0.016 0.238 0.396
Li2 Li 0.042 0.075 0.653
Li3 Li 0.349 0.646 0.526
Sb1 Sb 0.311 0.097 0.236
S1 S 0.089 0.602 0.632
S2 S 0.256 0.584 0.227
S3 S 0.258 0.238 0.757
```

Top 10 peaks for 2θ = 10–80°, by angle:
- hkl 1 1 -1, 15.5 deg, 5.704 Å, intensity 69.0
- hkl 0 2 1, 18.0 deg, 4.936 Å, intensity 100.0
- hkl 1 2 -1, 18.7 deg, 4.756 Å, intensity 31.5
- hkl 1 1 0, 19.4 deg, 4.566 Å, intensity 32.5
- hkl 0 0 2, 27.1 deg, 3.292 Å, intensity 52.9
- hkl 0 4 1, 27.5 deg, 3.245 Å, intensity 30.0
- hkl 2 0 -2, 28.9 deg, 3.086 Å, intensity 35.2
- hkl 1 5 -1, 33.4 deg, 2.687 Å, intensity 26.5
- hkl 0 6 0, 36.1 deg, 2.487 Å, intensity 28.4
- hkl 0 6 2, 45.7 deg, 1.984 Å, intensity 37.7

***

Li34Sb8S7: simulated powder diffractogram (a wavelength of 1.5418 Å), based on a cell relaxed with GGA-PBE.

Structure:
```
data_Li34Sb8S7
_space_group_name_H-M_alt 'I 4/m'
_space_group_IT_number 87
_space_group_name_Hall '-I 4'
_cell_length_a 9.685
_cell_length_b 9.685
_cell_length_c 19.210
_cell_angle_alpha 90.00
_cell_angle_beta 90.00
_cell_angle_gamma 90.00
loop_
_atom_site_label
_atom_site_type_symbol
_atom_site_fract_x
_atom_site_fract_y
_atom_site_fract_z
Li1 Li 0.000 0.500 0.070
Li2 Li 0.000 0.500 0.250
Li3 Li 0.074 0.224 0.125
Li4 Li 0.082 0.802 0.428
Li5 Li 0.087 0.803 0.259
Li6 Li 0.140 0.722 0.000
Sb1 Sb 0.125 0.312 0.344
S1 S 0.000 0.000 0.183
S2 S 0.000 0.000 0.500
S3 S 0.107 0.316 0.000
```

Top 10 peaks for 2θ = 10–80°, by angle:
- hkl 2 1 1, 21.0 deg, 4.225 Å, intensity 17.8
- hkl 2 1 3, 24.8 deg, 3.588 Å, intensity 100.0
- hkl 0 0 6, 27.9 deg, 3.202 Å, intensity 14.4
- hkl 1 3 0, 29.2 deg, 3.063 Å, intensity 25.2
- hkl 1 3 4, 34.7 deg, 2.582 Å, intensity 8.8
- hkl 2 1 7, 38.8 deg, 2.318 Å, intensity 11.1
- hkl 1 3 6, 40.8 deg, 2.213 Å, intensity 24.5
- hkl 4 2 0, 41.7 deg, 2.165 Å, intensity 13.2
- hkl 2 1 9, 47.5 deg, 1.915 Å, intensity 13.1
- hkl 5 0 3, 49.1 deg, 1.854 Å, intensity 22.1